Entry 1:
Starting from a GGA-PBE-relaxed structure, the powder diffractogram of Ce2Sc3Tl4 was simulated for Cu Kα (weighted mean of Kα1 and Kα2).
Kinematic intensities with the Lorentz-polarization factor, no thermal factor.

Structure:
Unit cell a=6.802 b=16.514 c=8.728 alpha=90.00 beta=90.00 gamma=90.00
Space group Cmce (No. 64)
Unique sites:
1 Ce 0.000 0.112 0.082 x8
2 Sc 0.000 0.000 0.500 x4
3 Sc 0.250 0.217 0.750 x8
4 Tl 0.000 0.182 0.455 x8
5 Tl 0.250 0.041 0.750 x8

Top 8 peaks for 5 to 70 degrees two-theta, low angle first:
| 2θ/deg | d/Å | I/Imax |
| --- | --- | --- |
| 23.1 | 3.853 | 60.6 |
| 23.8 | 3.732 | 25.5 |
| 28.4 | 3.145 | 27.8 |
| 30.2 | 2.959 | 51.4 |
| 31.8 | 2.813 | 78.2 |
| 32.6 | 2.744 | 55.2 |
| 33.4 | 2.683 | 100.0 |
| 34.2 | 2.625 | 54.2 |

Entry 2:
Starting from a GGA-PBE-relaxed structure, the powder diffractogram of Dy6AlZn5 was simulated for Cu Kα (weighted mean of Kα1 and Kα2).
Kinematic intensities with the Lorentz-polarization factor, no thermal factor.

Structure:
Unit cell a=5.037 b=15.155 c=7.194 alpha=90.00 beta=90.00 gamma=90.00
Space group Cmmm (No. 65)
Unique sites:
1 Dy 0.000 0.000 0.247 x4
2 Dy 0.000 0.332 0.250 x8
3 Al 0.000 0.500 0.500 x2
4 Zn 0.000 0.164 0.500 x4
5 Zn 0.000 0.166 0.000 x4
6 Zn 0.000 0.500 0.000 x2

Top 8 peaks for 5 to 70 degrees two-theta, low angle first:
| 2θ/deg | d/Å | I/Imax |
| --- | --- | --- |
| 25.0 | 3.567 | 22.3 |
| 35.4 | 2.533 | 100.0 |
| 35.5 | 2.526 | 24.8 |
| 35.6 | 2.519 | 24.6 |
| 51.2 | 1.783 | 17.4 |
| 63.5 | 1.464 | 18.0 |
| 63.8 | 1.460 | 17.8 |
| 63.9 | 1.457 | 17.7 |

Entry 3:
Starting from a GGA-PBE-relaxed structure, the powder diffractogram of MgAg5 was simulated for Cu Kα (weighted mean of Kα1 and Kα2).
Kinematic intensities with the Lorentz-polarization factor, no thermal factor.

Structure:
Unit cell a=5.0967 b=5.0967 c=4.7961 alpha=90.00 beta=90.00 gamma=120.00
Space group P-62m (No. 189)
Unique sites:
1 Mg 0.0000 0.0000 0.0000 x1
2 Ag 0.0000 0.6674 0.5000 x3
3 Ag 0.3333 0.6667 0.0000 x2

Top 8 peaks for 5 to 70 degrees two-theta, low angle first:
| 2θ/deg | d/Å | I/Imax |
| --- | --- | --- |
| 20.1 | 4.414 | 8.3 |
| 27.5 | 3.248 | 8.2 |
| 35.2 | 2.548 | 25.5 |
| 37.5 | 2.398 | 26.7 |
| 40.1 | 2.250 | 100.0 |
| 52.4 | 1.746 | 15.5 |
| 63.2 | 1.471 | 16.1 |
| 69.4 | 1.354 | 18.2 |

Entry 4:
Starting from a GGA-PBE-relaxed structure, the powder diffractogram of KNa7 was simulated for Cu Kα (weighted mean of Kα1 and Kα2).
Kinematic intensities with the Lorentz-polarization factor, no thermal factor.

Structure:
Unit cell a=10.950 b=10.950 c=10.950 alpha=90.00 beta=90.00 gamma=90.00
Space group Fm-3m (No. 225)
Unique sites:
1 K 0.000 0.000 0.000 x4
2 Na 0.000 0.000 0.500 x4
3 Na 0.000 0.250 0.250 x24

Top 8 peaks for 5 to 70 degrees two-theta, low angle first:
| 2θ/deg | d/Å | I/Imax |
| --- | --- | --- |
| 14.0 | 6.322 | 3.8 |
| 27.0 | 3.302 | 2.1 |
| 28.2 | 3.161 | 100.0 |
| 32.7 | 2.738 | 50.2 |
| 46.9 | 1.936 | 33.9 |
| 55.7 | 1.651 | 38.6 |
| 58.4 | 1.581 | 10.9 |
| 68.6 | 1.369 | 4.7 |

Entry 5:
Starting from a GGA-PBE-relaxed structure, the powder diffractogram of CsNpMn2I8 was simulated for Cu Kα (weighted mean of Kα1 and Kα2).
Kinematic intensities with the Lorentz-polarization factor, no thermal factor.

Structure:
Unit cell a=8.6235 b=8.6235 c=10.3791 alpha=90.00 beta=90.00 gamma=120.00
Space group P-3m1 (No. 164)
Unique sites:
1 Cs 0.0000 0.0000 0.0000 x1
2 Np 0.0000 0.0000 0.5000 x1
3 Mn 0.3333 0.6667 0.2214 x2
4 I 0.1628 0.3257 0.3165 x6
5 I 0.3333 0.6667 0.9726 x2

Top 8 peaks for 5 to 70 degrees two-theta, low angle first:
| 2θ/deg | d/Å | I/Imax |
| --- | --- | --- |
| 11.9 | 7.468 | 53.9 |
| 14.6 | 6.062 | 100.0 |
| 20.6 | 4.312 | 34.7 |
| 25.3 | 3.514 | 54.7 |
| 26.9 | 3.316 | 69.2 |
| 29.5 | 3.031 | 62.9 |
| 41.9 | 2.156 | 52.3 |
| 42.4 | 2.131 | 36.7 |

Entry 6:
Starting from a GGA-PBE-relaxed structure, the powder diffractogram of TiFeNiP was simulated for Cu Kα (weighted mean of Kα1 and Kα2).
Kinematic intensities with the Lorentz-polarization factor, no thermal factor.

Structure:
Unit cell a=5.026 b=5.065 c=7.402 alpha=90.00 beta=90.00 gamma=90.00
Space group F222 (No. 22)
Unique sites:
1 Ti 0.000 0.000 0.000 x4
2 Fe 0.000 0.000 0.500 x4
3 Ni 0.250 0.250 0.750 x4
4 P 0.250 0.250 0.250 x4

Top 8 peaks for 5 to 70 degrees two-theta, low angle first:
| 2θ/deg | d/Å | I/Imax |
| --- | --- | --- |
| 27.8 | 3.214 | 21.9 |
| 43.3 | 2.090 | 100.0 |
| 43.5 | 2.079 | 98.3 |
| 44.7 | 2.029 | 6.3 |
| 49.2 | 1.851 | 33.3 |
| 51.2 | 1.784 | 58.7 |
| 59.1 | 1.564 | 2.6 |
| 59.4 | 1.555 | 2.5 |

> What is the formula in the sixth record?

TiFeNiP